Structure and calculated X-ray diffraction stick pattern of Ba3V2S4O3 (a crystal structure in Alexandria, relaxed with GGA+U; Cu Kα (weighted mean of Kα1 and Kα2)).
Peak positions follow from Bragg's law for the DFT cell and can differ from measured ones.

Largest 8 diffraction maxima, most intense first, 2θ from 10° to 90°:
d (Å), intensity, (hkl)
3.929, 100, -1 2 1
2.977, 40, 0 3 0
2.614, 38, -2 1 2
2.950, 35, 1 -1 2
3.376, 34, 0 1 3
2.256, 32, 2 1 -2
3.596, 27, 1 2 2
1.941, 25, 1 3 -2

Crystal structure
Lattice parameters (Å, degrees): 6.067 10.304 10.314 60.07 89.98 89.98
Space group P1 (No. 1)
Asymmetric unit:
Ba: 0.000 0.000 0.000 (multiplicity 1)
Ba: 0.000 0.242 0.313 (multiplicity 1)
Ba: 0.499 0.933 0.690 (multiplicity 1)
Ba: 0.500 0.378 0.930 (multiplicity 1)
Ba: 0.500 0.620 0.243 (multiplicity 1)
Ba: 0.999 0.687 0.553 (multiplicity 1)
V: 0.135 0.643 0.954 (multiplicity 1)
V: 0.266 0.310 0.622 (multiplicity 1)
V: 0.634 0.977 0.289 (multiplicity 1)
V: 0.766 0.310 0.621 (multiplicity 1)
S: 0.013 0.100 0.658 (multiplicity 1)
S: 0.013 0.345 0.796 (multiplicity 1)
S: 0.018 0.486 0.410 (multiplicity 1)
S: 0.266 0.977 0.289 (multiplicity 1)
S: 0.515 0.134 0.833 (multiplicity 1)
S: 0.519 0.520 0.585 (multiplicity 1)
S: 0.520 0.275 0.447 (multiplicity 1)
S: 0.767 0.643 0.954 (multiplicity 1)
O: 0.236 0.469 0.086 (multiplicity 1)
O: 0.236 0.685 0.781 (multiplicity 1)
O: 0.236 0.774 0.997 (multiplicity 1)
O: 0.735 0.151 0.158 (multiplicity 1)
O: 0.735 0.846 0.245 (multiplicity 1)
O: 0.735 0.934 0.462 (multiplicity 1)